For BaSr4Fe5O10, a crystal structure in Alexandria, relaxed with PBE+U gives the simulated XRD peak list in this record (Cu Kα X-rays).
Kinematic intensities with the Lorentz-polarization factor, no thermal factor.

The 10 most intense peaks (2θ = 10–80°), in order of rising 2θ:
two_theta  I/Imax  h k l
31.0  50.6  1 1 2
33.3  34.0  2 0 -1
33.4  100.0  0 0 5
44.3  21.6  2 0 4
44.4  21.4  0 2 0
51.3  12.7  2 0 -6
56.5  14.3  3 1 1
56.7  27.8  2 2 -1
56.7  13.9  0 2 5
64.6  12.8  2 2 4

Crystal structure
Unit cell a=5.434 b=4.077 c=13.425 alpha=90.00 beta=93.71 gamma=90.00
Space group P2/m (No. 10)
One atom of each set of equivalent atoms:
Ba 0.000 0.000 0.000 (multiplicity 1)
Sr 0.198 0.000 0.403 (multiplicity 2)
Sr 0.410 0.000 0.795 (multiplicity 2)
Fe 0.087 0.500 0.208 (multiplicity 2)
Fe 0.302 0.500 0.599 (multiplicity 2)
Fe 0.500 0.500 0.000 (multiplicity 1)
O 0.000 0.500 0.500 (multiplicity 1)
O 0.093 0.000 0.208 (multiplicity 2)
O 0.222 0.500 0.889 (multiplicity 2)
O 0.302 0.000 0.599 (multiplicity 2)
O 0.392 0.500 0.305 (multiplicity 2)
O 0.500 0.000 0.000 (multiplicity 1)